# Ca3W2O9
Calculated powder X-ray diffraction pattern, Cu Kα (λ = 1.5418 Å). Input: a structure optimized by DFT (PBE+U).
No peak broadening, texture or thermal motion is included.

Crystal structure
```
Ca3W2O9
1.0
8.6590 0.0000 0.0000
0.0000 7.7753 0.0000
-4.3177 0.0000 8.3983
Ca W O
6 4 18
Cartesian
0.0000 0.0000 0.0000
0.0000 3.8876 0.0000
-2.1300 1.9438 6.4832
2.1816 1.9438 1.9248
2.1597 5.8315 6.4735
6.4713 5.8315 1.9151
-1.8212 5.8315 5.9854
2.5010 5.8315 2.4032
1.8403 1.9438 5.9951
6.1625 1.9438 2.4129
-1.8554 5.8315 4.1857
-2.6583 4.3338 6.6270
-2.6583 7.3291 6.6270
1.0855 1.9438 0.0027
1.6542 4.3337 1.7750
1.6542 7.3293 1.7750
-0.1009 5.8315 6.5301
0.1294 1.9438 6.5689
1.8442 1.9438 4.1951
2.4971 5.8315 4.2032
4.2120 5.8315 1.8294
4.4422 1.9438 1.8682
2.6871 0.4460 6.6233
2.6871 3.4416 6.6233
3.2558 5.8315 8.3956
6.9996 0.4462 1.7713
6.9996 3.4414 1.7713
6.1967 1.9438 4.2126
```

Main lines, sorted by position (2θ from 10° to 90°):
d_spacing, intensity
5.470, 60
4.329, 60
4.199, 54
4.023, 100
3.888, 52
3.783, 18
3.014, 44
2.893, 42
2.852, 39
2.270, 21
2.216, 24
1.725, 24